Entry 1:
Structure and computed powder diffraction line list of Zr4GaH2 (DFT lattice parameters and positions (PBE); Cu Kα (weighted mean of Kα1 and Kα2)).
Kinematic intensities with the Lorentz-polarization factor, no thermal factor.

Structural model:
abc: 8.177 8.177 7.110
angles: 90.00 90.00 90.00
Space group I4_1/amd (No. 141, origin choice 2)
Unique sites:
Zr (0.000, 0.065, 0.212) [16 per cell]
Ga (0.000, 0.250, 0.875) [4 per cell]
H (0.000, 0.000, 0.500) [8 per cell]

Largest 6 diffraction maxima, sorted by position, 10° ≤ 2θ ≤ 90°:
h k l	two_theta	intensity
2 0 0	21.74	34
2 2 0	30.93	28
2 0 2	33.40	100
3 0 1	35.26	79
1 0 3	39.59	43
3 2 1	41.81	52

Entry 2:
Structure and computed powder diffraction line list of CeCdAu (DFT lattice parameters and positions (PBE); Cu Kα (weighted mean of Kα1 and Kα2)).
Kinematic intensities with the Lorentz-polarization factor, no thermal factor.

Structural model:
abc: 4.505 14.791 4.146
angles: 90.00 90.00 90.00
Space group Cmmm (No. 65)
Unique sites:
Ce (0.000, 0.187, 0.000) [4 per cell]
Cd (0.000, 0.000, 0.500) [2 per cell]
Cd (0.000, 0.500, 0.000) [2 per cell]
Au (0.000, 0.357, 0.500) [4 per cell]

Largest 6 diffraction maxima, sorted by position, 10° ≤ 2θ ≤ 90°:
h k l	two_theta	intensity
1 3 1	34.58	100
0 6 0	36.45	14
2 0 0	40.03	19
0 0 2	43.67	15
2 0 2	60.72	11
3 3 1	69.21	13